For K2CaMoO4, a GGA+U-relaxed structure gives the computed X-ray powder pattern in this record (Cu Kα, 1.54184 Å).
Kinematic intensities with the Lorentz-polarization factor, no thermal factor.

Cell and atoms:
```
K2CaMoO4
1.0
-3.104 3.104 3.773
3.104 -3.104 3.773
3.104 3.104 -3.773
K Ca Mo O
2 1 1 4
direct
0.000 0.000 0.000 K
0.750 0.250 0.500 K
0.500 0.500 0.000 Ca
0.250 0.750 0.500 Mo
0.163 0.567 0.091 O
0.433 0.523 0.595 O
0.477 0.072 0.909 O
0.928 0.837 0.405 O
```

Peak list (10 most intense, 10° ≤ 2θ ≤ 90°, sorted by position)
- 18.50 deg, intensity 39.7
- 23.58 deg, intensity 10.2
- 28.76 deg, intensity 37.2
- 31.26 deg, intensity 100.0
- 41.12 deg, intensity 26.8
- 52.54 deg, intensity 40.5
- 57.13 deg, intensity 16.3
- 65.20 deg, intensity 9.6
- 67.46 deg, intensity 9.6
- 83.41 deg, intensity 9.9